For LiH7S4O16, a DFT-relaxed cell (GGA-PBE, Alexandria) gives the calculated X-ray diffraction stick pattern in this record (copper Kα).
Lines closer than 0.1° are merged.

Structural model:
a = 5.1011 Å, b = 7.4319 Å, c = 8.7812 Å
α = 81.38°, β = 86.86°, γ = 79.91°
Space group P1 (No. 1)
Inequivalent atoms, fractional coordinates:
Li1 0.0000 0.0000 0.0000 x1
H1 0.0060 0.9897 0.4919 x1
H2 0.1365 0.4892 0.8177 x1
H3 0.3221 0.5605 0.3001 x1
H4 0.4578 0.9567 0.7159 x1
H5 0.5640 0.0620 0.2577 x1
H6 0.7001 0.4490 0.6708 x1
H7 0.8888 0.5159 0.1581 x1
S1 0.1784 0.2193 0.2984 x1
S2 0.4820 0.2739 0.8251 x1
S3 0.5448 0.7338 0.1466 x1
S4 0.8412 0.7918 0.6793 x1
O1 0.0672 0.1576 0.4526 x1
O2 0.0959 0.1318 0.1765 x1
O3 0.1212 0.4248 0.2690 x1
O4 0.2899 0.4329 0.8889 x1
O5 0.3288 0.7871 0.0417 x1
O6 0.3324 0.1327 0.7976 x1
O7 0.4458 0.6526 0.3092 x1
O8 0.4903 0.1751 0.3070 x1
O9 0.5334 0.8429 0.6651 x1
O10 0.5774 0.3572 0.6621 x1
O11 0.6954 0.8753 0.1731 x1
O12 0.6987 0.2220 0.9293 x1
O13 0.7363 0.5739 0.0846 x1
O14 0.8959 0.5882 0.7059 x1
O15 0.9291 0.8819 0.7968 x1
O16 0.9605 0.8475 0.5213 x1

Largest 12 diffraction maxima, in order of rising 2θ, 2θ from 10° to 90°:
h k l, Position (°2θ), Rel. int.
1 0 1, 20.17, 55
0 0 2, 20.47, 62
1 1 1, 21.18, 41
0 1 2, 22.33, 78
1 1 -1, 23.26, 100
0 2 0, 24.58, 43
-1 1 1, 24.89, 55
0 1 -2, 25.39, 45
1 0 2, 26.76, 33
1 2 1, 28.25, 49
1 1 -2, 30.23, 57
1 0 -4, 46.06, 26